Structure and theoretical X-ray diffraction stick pattern of CsPaFe2O8 (DFT lattice parameters and positions (PBE+U); Cu Kα).
Peak positions follow from Bragg's law for the DFT cell and can differ from measured ones.

Most intense lines, 10° ≤ 2θ ≤ 80°, most intense first:
- 2θ = 27.51°, rel. 100
- 2θ = 17.39°, rel. 81
- 2θ = 30.36°, rel. 55
- 2θ = 20.37°, rel. 43
- 2θ = 41.43°, rel. 38
- 2θ = 52.22°, rel. 34
- 2θ = 37.30°, rel. 21
- 2θ = 53.60°, rel. 21
- 2θ = 10.53°, rel. 19
- 2θ = 46.77°, rel. 16
- 2θ = 70.23°, rel. 14
- 2θ = 47.16°, rel. 13

Structure:
a = 5.8874 Å, b = 5.8874 Å, c = 8.4027 Å
α = 90.00°, β = 90.00°, γ = 120.00°
Space group P-3 (No. 147)
Unique sites:
Cs: 0.0000 0.0000 0.0000 (multiplicity 1)
Pa: 0.0000 0.0000 0.5000 (multiplicity 1)
Fe: 0.3333 0.6667 0.7225 (multiplicity 2)
O: 0.1637 0.3343 0.6530 (multiplicity 6)
O: 0.3333 0.6667 0.9211 (multiplicity 2)